Entry 1:
Diffraction record for Ac16Ni5Ir3. The powder XRD pattern is calculated, not measured: it uses a structure optimized by DFT (GGA-PBE) and Cu Kα (weighted mean of Kα1 and Kα2).
No peak broadening, texture or thermal motion is included.

Structural model:
```
24
Lattice="7.430 -4.310 0.000 7.430 4.310 0.000 -0.012 0.000 13.889" Properties=species:S:1:pos:R:3 pbc="T T T"
Ac 0.000 0.000 0.000
Ac 0.015 0.000 6.962
Ac 3.767 2.002 13.748
Ac 2.407 0.000 10.220
Ac 6.209 2.184 10.227
Ac 8.637 2.206 3.282
Ac 4.952 0.000 3.223
Ac 3.767 -2.002 13.748
Ac 7.271 0.000 13.751
Ac 11.065 2.021 6.817
Ac 7.614 0.000 6.828
Ac 9.903 0.000 10.163
Ac 6.209 -2.184 10.227
Ac 12.410 0.000 3.268
Ac 8.637 -2.206 3.282
Ac 11.065 -2.021 6.817
Ni 2.478 0.000 1.599
Ni 4.910 0.000 11.865
Ni 8.672 2.148 8.546
Ni 9.879 0.000 4.970
Ni 8.672 -2.148 8.546
Ir 6.182 2.149 1.597
Ir 6.182 -2.149 1.597
Ir 12.381 0.000 8.554
```

Main lines, by intensity (10° ≤ 2θ ≤ 80°):
| 2θ (°) | I_rel |
| --- | --- |
| 27.17 | 100 |
| 30.82 | 45 |
| 42.08 | 29 |
| 40.51 | 24 |
| 46.17 | 23 |
| 24.75 | 19 |
| 25.65 | 19 |
| 41.93 | 14 |
| 35.34 | 13 |
| 69.57 | 12 |

Entry 2:
Diffraction record for Ac7NiIr4. The powder XRD pattern is calculated, not measured: it uses a structure optimized by DFT (GGA-PBE) and Cu Kα (weighted mean of Kα1 and Kα2).
No peak broadening, texture or thermal motion is included.

Structural model:
```
12
Lattice="7.075 -2.120 0.000 7.075 2.120 0.000 -3.302 0.000 12.417" Properties=species:S:1:pos:R:3 pbc="T T T"
Ac 0.000 0.000 0.000
Ac 0.287 0.000 10.643
Ac 2.870 0.000 5.298
Ac 6.456 0.000 3.526
Ac 6.625 0.000 7.338
Ac 10.354 0.000 1.819
Ac 10.681 0.000 8.586
Ni 1.361 0.000 2.684
Ir 1.583 0.000 7.955
Ir 5.117 0.000 0.877
Ir 5.236 0.000 10.288
Ir 12.057 0.000 5.530
```

Main lines, by intensity (10° ≤ 2θ ≤ 80°):
| 2θ (°) | I_rel |
| --- | --- |
| 28.37 | 100 |
| 29.84 | 61 |
| 30.89 | 51 |
| 28.76 | 48 |
| 27.92 | 46 |
| 42.64 | 44 |
| 32.89 | 29 |
| 37.83 | 27 |
| 51.73 | 27 |
| 41.47 | 26 |

Entry 3:
Diffraction record for Ac9Ni4Ir2. The powder XRD pattern is calculated, not measured: it uses a structure optimized by DFT (GGA-PBE) and Cu Kα (weighted mean of Kα1 and Kα2).
No peak broadening, texture or thermal motion is included.

Structural model:
```
30
Lattice="7.435 0.000 0.000 -3.717 6.439 0.000 0.000 0.000 20.813" Properties=species:S:1:pos:R:3 pbc="T T T"
Ac -1.188 2.058 5.203
Ac -2.529 4.381 15.610
Ac -1.197 2.220 12.146
Ac -2.393 4.292 1.740
Ac 2.376 0.000 5.203
Ac 1.188 2.058 15.610
Ac 1.197 2.220 1.740
Ac -1.196 6.365 12.146
Ac 2.521 0.073 19.074
Ac 1.324 2.147 8.667
Ac 2.393 4.292 12.146
Ac 1.196 6.365 1.740
Ac 4.913 0.073 8.667
Ac 2.520 4.219 19.074
Ac 5.059 0.000 15.610
Ac 2.529 4.381 5.203
Ac 6.111 2.147 19.074
Ac 4.915 4.219 8.667
Ni 0.000 4.292 3.532
Ni 0.000 4.292 10.330
Ni 0.000 4.292 13.939
Ni 0.000 4.292 20.736
Ni 3.717 2.146 0.077
Ni 3.717 2.146 6.875
Ni 3.717 2.146 10.484
Ni 3.717 2.146 17.281
Ir 0.000 0.000 3.325
Ir 0.000 0.000 7.081
Ir 0.000 0.000 13.732
Ir 0.000 0.000 17.488
```

Main lines, by intensity (10° ≤ 2θ ≤ 80°):
| 2θ (°) | I_rel |
| --- | --- |
| 27.22 | 100 |
| 35.39 | 45 |
| 42.10 | 36 |
| 46.23 | 25 |
| 50.86 | 18 |
| 69.71 | 16 |
| 68.09 | 15 |
| 25.68 | 12 |
| 49.97 | 12 |
| 56.14 | 12 |